For Ti7SiGe3, the PBE geometry in Alexandria gives the theoretical powder diffraction line list in this record (Cu Kα, 1.54184 Å).
No peak broadening, texture or thermal motion is included.

Most intense lines, 2θ from 10° to 90°, low angle first:
2theta  d_spacing  I (rel.)
37.17  2.419  57
37.63  2.390  50
40.65  2.220  26
42.95  2.106  100
53.93  1.700  33
71.00  1.328  22

Cell and atoms:
a = 6.700 Å, b = 6.700 Å, c = 6.700 Å
α = 137.68°, β = 106.20°, γ = 88.95°
Atoms (fractional coordinates):
Ti1 0.000 0.000 0.000
Ti2 0.094 0.758 0.336
Ti3 0.318 0.500 0.818
Ti4 0.422 0.758 0.664
Ti5 0.578 0.242 0.336
Ti6 0.682 0.500 0.182
Ti7 0.906 0.242 0.664
Si1 0.000 0.500 0.500
Ge1 0.271 0.271 0.000
Ge2 0.500 0.000 0.500
Ge3 0.729 0.729 0.000